1.
# AcEr3Tl
Simulated powder diffraction line list, Cu Ka. Input: a DFT-relaxed cell (GGA-PBE, Alexandria).
No peak broadening, texture or thermal motion is included.

Largest 10 diffraction maxima, low angle first, 5 to 70 degrees two-theta:
d_spacing  2θ/deg  Rel. int.  hkl
3.987  22.3  25  2 0 0
3.162  28.2  15  0 0 2
3.031  29.5  100  0 4 1
2.875  31.1  25  1 1 2
2.610  34.4  21  3 1 0
2.332  38.6  43  2 2 2
1.994  45.5  28  2 6 0
1.799  50.7  23  0 4 3
1.666  55.1  13  4 4 1
1.639  56.1  11  3 5 2

Atomic structure:
a b c (Å): 7.981 13.800 6.323
angles (deg): 90.00 90.00 90.00
Space group Cmcm (No. 63)
Symmetry-distinct sites (fractional):
Ac: 0.000 0.167 0.250 x4
Er: 0.000 0.309 0.750 x4
Er: 0.212 0.095 0.750 x8
Tl: 0.000 0.500 0.000 x4

2.
# Ac3ErTl4
Simulated powder diffraction line list, Cu Ka. Input: a DFT-relaxed cell (GGA-PBE, Alexandria).
No peak broadening, texture or thermal motion is included.

Largest 10 diffraction maxima, low angle first, 5 to 70 degrees two-theta:
d_spacing  2θ/deg  Rel. int.  hkl
3.236  27.6  7  1 0 3
2.885  31.0  100  1 0 4
2.798  32.0  52  1 1 0
2.109  42.9  7  0 0 8
1.978  45.9  20  2 0 0
1.826  49.9  7  1 1 7
1.684  54.5  14  1 1 8
1.632  56.4  38  2 1 4
1.443  64.6  9  2 0 8
1.399  66.9  7  2 2 0

Atomic structure:
a b c (Å): 3.957 3.957 16.868
angles (deg): 90.00 90.00 90.00
Space group P4/mmm (No. 123)
Symmetry-distinct sites (fractional):
Ac: 0.000 0.000 0.000 x1
Ac: 0.000 0.000 0.264 x2
Er: 0.000 0.000 0.500 x1
Tl: 0.500 0.500 0.133 x2
Tl: 0.500 0.500 0.398 x2

3.
# Ac6Er2Tm
Simulated powder diffraction line list, Cu Ka. Input: a DFT-relaxed cell (GGA-PBE, Alexandria).
No peak broadening, texture or thermal motion is included.

Largest 10 diffraction maxima, low angle first, 5 to 70 degrees two-theta:
d_spacing  2θ/deg  Rel. int.  hkl
3.236  27.6  67  1 2 1
3.214  27.8  72  0 3 1
3.173  28.1  100  1 0 -4
3.143  28.4  72  2 1 -2
3.043  29.4  63  1 1 2
3.026  29.5  57  2 1 -1
2.889  31.0  45  1 3 -2
2.861  31.3  41  0 3 2
2.677  33.5  39  2 2 -3
2.624  34.2  36  1 3 -3

Atomic structure:
a b c (Å): 6.616 10.088 12.703
angles (deg): 90.00 121.00 90.00
Space group P2_1/c (No. 14)
Symmetry-distinct sites (fractional):
Ac: 0.005 0.214 0.356 x4
Ac: 0.330 0.656 0.979 x4
Ac: 0.354 0.115 0.707 x4
Er: 0.118 0.066 0.137 x4
Tm: 0.500 0.000 0.000 x2